[1]
Diffraction record for Pa5As4N. The powder diffractogram is calculated, not measured: it uses a crystal structure in Alexandria, relaxed with PBE and Cu Kα, 1.54184 Å.

```
data_Pa5As4N
_space_group_name_H-M_alt 'I 4/m'
_space_group_IT_number 87
_space_group_name_Hall '-I 4'
_cell_length_a 8.8618
_cell_length_b 8.8618
_cell_length_c 5.6804
_cell_angle_alpha 90.00
_cell_angle_beta 90.00
_cell_angle_gamma 90.00
loop_
_atom_site_label
_atom_site_type_symbol
_atom_site_fract_x
_atom_site_fract_y
_atom_site_fract_z
Pa1 Pa 0.0000 0.0000 0.0000
Pa2 Pa 0.0944 0.7315 0.5000
As1 As 0.0868 0.6922 0.0000
N1 N 0.0000 0.0000 0.5000
```

Principal peaks in the range 15° ≤ 2θ ≤ 90°, most intense first:
2θ (°)  Rel. int.  (hkl)
31.9  100  3 1 0
27.4  90  1 2 1
45.5  76  3 1 2
31.5  56  0 0 2
56.6  34  2 4 2
45.8  32  2 4 0
54.2  18  5 0 1
75.0  18  3 1 4
83.8  16  2 4 4
53.6  15  1 2 3

[2]
Diffraction record for HfTa2Si. The powder diffractogram is calculated, not measured: it uses a crystal structure in Alexandria, relaxed with PBE and Cu Kα, 1.54184 Å.

```
data_HfTa2Si
_space_group_name_H-M_alt 'C m c m'
_space_group_IT_number 63
_space_group_name_Hall '-C 2c 2'
_cell_length_a 3.5909
_cell_length_b 9.9774
_cell_length_c 8.0640
_cell_angle_alpha 90.00
_cell_angle_beta 90.00
_cell_angle_gamma 90.00
loop_
_atom_site_label
_atom_site_type_symbol
_atom_site_fract_x
_atom_site_fract_y
_atom_site_fract_z
Hf1 Hf 0.0000 0.0506 0.2500
Ta1 Ta 0.0000 0.3582 0.0465
Si1 Si 0.0000 0.2363 0.7500
```

Principal peaks in the range 15° ≤ 2θ ≤ 90°, most intense first:
2θ (°)  Rel. int.  (hkl)
34.6  100  1 1 2
36.8  57  1 3 0
38.0  41  0 2 3
38.5  28  1 3 1
42.6  27  0 4 2
63.6  24  1 5 3
50.9  21  2 0 0
28.5  20  0 2 2
65.2  17  2 2 3
63.9  17  1 1 5

[3]
Diffraction record for DyGeAs. The powder diffractogram is calculated, not measured: it uses a crystal structure in Alexandria, relaxed with PBE and Cu Kα, 1.54184 Å.

```
data_DyGeAs
_space_group_name_H-M_alt 'C m c m'
_space_group_IT_number 63
_space_group_name_Hall '-C 2c 2'
_cell_length_a 4.0731
_cell_length_b 16.1340
_cell_length_c 3.9227
_cell_angle_alpha 90.00
_cell_angle_beta 90.00
_cell_angle_gamma 90.00
loop_
_atom_site_label
_atom_site_type_symbol
_atom_site_fract_x
_atom_site_fract_y
_atom_site_fract_z
Dy1 Dy 0.0000 0.1093 0.2500
Ge1 Ge 0.0000 0.4500 0.2500
As1 As 0.0000 0.2510 0.7500
```

Principal peaks in the range 15° ≤ 2θ ≤ 90°, most intense first:
2θ (°)  Rel. int.  (hkl)
35.9  100  1 3 1
25.2  20  0 2 1
40.7  18  0 6 1
27.5  18  1 3 0
44.5  17  2 0 0
35.5  16  1 5 0
46.3  15  0 0 2
33.3  14  0 6 0
76.3  11  3 3 1
61.9  11  2 6 1